The following is a computed XRD peak list of PmBiPd3. It was derived from a crystal structure in Alexandria, relaxed with GGA-PBE, using Cu Kα, 1.54184 Å.
Lines closer than 0.1° are merged.

Cell and atoms:
```
PmBiPd3
1.0
-2.7822 3.9872 4.7871
2.7822 -3.9872 4.7871
2.7822 3.9872 -4.7871
Pm Bi Pd
2 2 6
direct
0.2532 0.0032 0.2500
0.7468 0.9968 0.7500
0.0000 0.5000 0.5000
0.5000 0.5000 0.0000
0.0505 0.3005 0.7500
0.3185 0.0000 0.8185
0.3185 0.5000 0.3185
0.6815 0.0000 0.1815
0.6815 0.5000 0.6815
0.9495 0.6995 0.2500
```

Peak list (12 most intense, 5 to 70 degrees two-theta, by angle)
- 29.1 deg, 3.070 Å, I = 100
- 35.0 deg, 2.561 Å, I = 29
- 35.4 deg, 2.533 Å, I = 21
- 37.4 deg, 2.405 Å, I = 59
- 37.6 deg, 2.394 Å, I = 45
- 39.6 deg, 2.274 Å, I = 84
- 44.0 deg, 2.060 Å, I = 27
- 45.5 deg, 1.994 Å, I = 13
- 55.5 deg, 1.656 Å, I = 17
- 56.8 deg, 1.621 Å, I = 19
- 62.4 deg, 1.488 Å, I = 22
- 67.7 deg, 1.384 Å, I = 16

---

The following is a computed XRD peak list of Pm4Bi8Pd3. It was derived from a crystal structure in Alexandria, relaxed with GGA-PBE, using Cu Kα, 1.54184 Å.
Lines closer than 0.1° are merged.

Cell and atoms:
```
Pm4Bi8Pd3
1.0
4.6645 0.0000 0.0000
0.0000 4.6645 0.0000
0.0000 0.0000 19.2406
Pm Bi Pd
4 8 3
direct
0.0000 0.5000 0.1114
0.0000 0.5000 0.6169
0.5000 0.0000 0.3831
0.5000 0.0000 0.8886
0.0000 0.0000 0.2475
0.0000 0.0000 0.7525
0.0000 0.5000 0.4159
0.0000 0.5000 0.9225
0.5000 0.0000 0.0775
0.5000 0.0000 0.5841
0.5000 0.5000 0.2478
0.5000 0.5000 0.7522
0.0000 0.0000 0.0000
0.0000 0.0000 0.5000
0.5000 0.5000 0.5000
```

Peak list (12 most intense, 5 to 70 degrees two-theta, by angle)
- 26.6 deg, 3.349 Å, I = 14
- 27.8 deg, 3.207 Å, I = 21
- 28.6 deg, 3.120 Å, I = 34
- 32.9 deg, 2.720 Å, I = 100
- 38.6 deg, 2.332 Å, I = 50
- 46.7 deg, 1.943 Å, I = 12
- 48.2 deg, 1.886 Å, I = 20
- 51.4 deg, 1.779 Å, I = 10
- 55.7 deg, 1.649 Å, I = 17
- 63.4 deg, 1.467 Å, I = 9
- 66.1 deg, 1.414 Å, I = 10
- 66.3 deg, 1.410 Å, I = 28

---

The following is a computed XRD peak list of Pm4BiPd2. It was derived from a crystal structure in Alexandria, relaxed with GGA-PBE, using Cu Kα, 1.54184 Å.
Lines closer than 0.1° are merged.

Cell and atoms:
```
Pm4BiPd2
1.0
0.0000 6.8461 6.8913
4.6916 0.0000 6.8913
4.6916 6.8461 0.0000
Pm Bi Pd
8 2 4
direct
0.1433 0.2870 0.2903
0.2206 0.7097 0.7130
0.2870 0.1433 0.7794
0.2903 0.7794 0.1433
0.7097 0.2206 0.8567
0.7130 0.8567 0.2206
0.7794 0.2903 0.2870
0.8567 0.7130 0.7097
0.3750 0.3750 0.3750
0.6250 0.6250 0.6250
0.0000 0.0000 0.0000
0.0000 0.0000 0.5000
0.0000 0.5000 0.0000
0.5000 0.0000 0.0000
```

Peak list (12 most intense, 5 to 70 degrees two-theta, by angle)
- 18.3 deg, 4.857 Å, I = 53
- 26.0 deg, 3.423 Å, I = 21
- 26.4 deg, 3.374 Å, I = 21
- 29.2 deg, 3.061 Å, I = 53
- 30.0 deg, 2.977 Å, I = 100
- 34.5 deg, 2.597 Å, I = 55
- 34.7 deg, 2.582 Å, I = 53
- 34.9 deg, 2.570 Å, I = 36
- 37.0 deg, 2.428 Å, I = 45
- 46.9 deg, 1.939 Å, I = 20
- 47.0 deg, 1.935 Å, I = 21
- 55.7 deg, 1.650 Å, I = 24

---

The following is a computed XRD peak list of Pr3Bi4Pd3. It was derived from a crystal structure in Alexandria, relaxed with GGA-PBE, using Cu Kα, 1.54184 Å.
Lines closer than 0.1° are merged.

Cell and atoms:
```
Pr3Bi4Pd3
1.0
-5.0982 5.0982 5.0982
5.0982 -5.0982 5.0982
5.0982 5.0982 -5.0982
Pr Bi Pd
6 8 6
direct
0.1250 0.8750 0.2500
0.2500 0.1250 0.8750
0.3750 0.6250 0.7500
0.6250 0.7500 0.3750
0.7500 0.3750 0.6250
0.8750 0.2500 0.1250
0.0000 0.1667 0.5000
0.0000 0.6667 0.5000
0.1667 0.5000 0.0000
0.3333 0.3333 0.3333
0.5000 0.0000 0.1667
0.5000 0.0000 0.6667
0.6667 0.5000 0.0000
0.8333 0.8333 0.8333
0.1250 0.7500 0.8750
0.2500 0.6250 0.3750
0.3750 0.2500 0.6250
0.6250 0.3750 0.2500
0.7500 0.8750 0.1250
0.8750 0.1250 0.7500
```

Peak list (12 most intense, 5 to 70 degrees two-theta, by angle)
- 21.3 deg, 4.163 Å, I = 8
- 27.7 deg, 3.224 Å, I = 36
- 32.9 deg, 2.725 Å, I = 100
- 39.5 deg, 2.280 Å, I = 22
- 43.5 deg, 2.081 Å, I = 21
- 45.4 deg, 2.000 Å, I = 20
- 55.6 deg, 1.654 Å, I = 11
- 57.1 deg, 1.612 Å, I = 13
- 58.7 deg, 1.573 Å, I = 8
- 61.7 deg, 1.503 Å, I = 9
- 64.6 deg, 1.442 Å, I = 8
- 67.5 deg, 1.388 Å, I = 10

---

The following is a computed XRD peak list of Pr8Bi2Pd3. It was derived from a crystal structure in Alexandria, relaxed with GGA-PBE, using Cu Kα, 1.54184 Å.
Lines closer than 0.1° are merged.

Cell and atoms:
```
Pr8Bi2Pd3
1.0
8.2616 -4.1899 0.0000
8.2616 4.1899 0.0000
-1.9571 0.0000 6.9448
Pr Bi Pd
8 2 3
direct
0.0929 0.0929 0.3738
0.1411 0.6460 0.0976
0.3540 0.8589 0.9024
0.3997 0.3997 0.5991
0.6003 0.6003 0.4009
0.6460 0.1411 0.0976
0.8589 0.3540 0.9024
0.9071 0.9071 0.6262
0.2493 0.2493 0.1700
0.7507 0.7507 0.8300
0.2477 0.7523 0.5000
0.5000 0.5000 0.0000
0.7523 0.2477 0.5000
```

Peak list (12 most intense, 5 to 70 degrees two-theta, by angle)
- 18.6 deg, 4.776 Å, I = 27
- 21.0 deg, 4.232 Å, I = 22
- 24.0 deg, 3.707 Å, I = 14
- 25.8 deg, 3.457 Å, I = 17
- 28.7 deg, 3.111 Å, I = 38
- 30.8 deg, 2.906 Å, I = 52
- 31.2 deg, 2.871 Å, I = 100
- 36.0 deg, 2.495 Å, I = 19
- 43.2 deg, 2.095 Å, I = 26
- 43.4 deg, 2.086 Å, I = 51
- 45.3 deg, 2.002 Å, I = 19
- 54.0 deg, 1.699 Å, I = 23

---

The following is a computed XRD peak list of PrBi2Pd8. It was derived from a crystal structure in Alexandria, relaxed with GGA-PBE, using Cu Kα, 1.54184 Å.
Lines closer than 0.1° are merged.

Cell and atoms:
```
PrBi2Pd8
1.0
3.8172 -7.2874 0.0000
3.8172 7.2874 0.0000
-3.3674 0.0000 3.8228
Pr Bi Pd
1 2 8
direct
0.0000 0.0000 0.0000
0.3160 0.6840 0.5000
0.6840 0.3160 0.5000
0.1033 0.3708 0.7430
0.1964 0.8036 0.0000
0.3708 0.1033 0.7430
0.4942 0.4942 0.7450
0.5058 0.5058 0.2550
0.6292 0.8967 0.2570
0.8036 0.1964 0.0000
0.8967 0.6292 0.2570
```

Peak list (12 most intense, 5 to 70 degrees two-theta, by angle)
- 31.2 deg, 2.864 Å, I = 25
- 35.2 deg, 2.547 Å, I = 57
- 35.5 deg, 2.530 Å, I = 100
- 36.4 deg, 2.470 Å, I = 50
- 36.6 deg, 2.452 Å, I = 44
- 37.0 deg, 2.429 Å, I = 44
- 37.4 deg, 2.405 Å, I = 33
- 40.0 deg, 2.252 Å, I = 51
- 40.5 deg, 2.227 Å, I = 47
- 40.7 deg, 2.214 Å, I = 50
- 43.0 deg, 2.104 Å, I = 22
- 65.1 deg, 1.432 Å, I = 19

---

The following is a computed XRD peak list of PrBi3Pd6. It was derived from a crystal structure in Alexandria, relaxed with GGA-PBE, using Cu Kα, 1.54184 Å.
Lines closer than 0.1° are merged.

Cell and atoms:
```
PrBi3Pd6
1.0
6.0955 3.5192 1.8196
-6.0955 3.5192 1.8196
0.0000 -7.0385 1.8196
Pr Bi Pd
1 3 6
direct
0.0000 0.0000 0.0000
0.0562 0.4708 0.4708
0.4708 0.0562 0.4708
0.4708 0.4708 0.0562
0.4502 0.4502 0.6794
0.4502 0.6794 0.4502
0.5515 0.9717 0.9717
0.6794 0.4502 0.4502
0.9717 0.5515 0.9717
0.9717 0.9717 0.5515
```

Peak list (12 most intense, 5 to 70 degrees two-theta, by angle)
- 18.3 deg, 4.849 Å, I = 23
- 23.4 deg, 3.795 Å, I = 29
- 25.3 deg, 3.519 Å, I = 60
- 29.3 deg, 3.048 Å, I = 71
- 34.8 deg, 2.580 Å, I = 21
- 37.1 deg, 2.425 Å, I = 100
- 37.9 deg, 2.376 Å, I = 18
- 39.1 deg, 2.304 Å, I = 67
- 40.0 deg, 2.253 Å, I = 33
- 40.8 deg, 2.214 Å, I = 15
- 50.4 deg, 1.812 Å, I = 34
- 54.3 deg, 1.691 Å, I = 30

---

The following is a computed XRD peak list of Bi2Pd5Pt. It was derived from a crystal structure in Alexandria, relaxed with GGA-PBE, using Cu Kα, 1.54184 Å.
Lines closer than 0.1° are merged.

Cell and atoms:
```
Bi2Pd5Pt
1.0
5.8539 0.0000 0.0000
0.0000 11.7177 0.0000
0.0000 0.0000 4.1458
Bi Pd Pt
4 10 2
direct
0.2444 0.1261 0.0000
0.2556 0.6261 0.0000
0.7444 0.3739 0.0000
0.7556 0.8739 0.0000
0.0000 0.0000 0.5000
0.0094 0.7488 0.5000
0.2442 0.3761 0.0000
0.2558 0.8761 0.0000
0.4906 0.2488 0.5000
0.5000 0.5000 0.5000
0.5094 0.7512 0.5000
0.7442 0.1239 0.0000
0.7558 0.6239 0.0000
0.9906 0.2512 0.5000
0.0000 0.5000 0.5000
0.5000 0.0000 0.5000
```

Peak list (12 most intense, 5 to 70 degrees two-theta, by angle)
- 15.1 deg, 5.859 Å, I = 1
- 16.9 deg, 5.237 Å, I = 2
- 21.5 deg, 4.142 Å, I = 7
- 27.4 deg, 3.250 Å, I = 2
- 30.5 deg, 2.930 Å, I = 6
- 37.6 deg, 2.392 Å, I = 100
- 43.7 deg, 2.071 Å, I = 49
- 47.2 deg, 1.926 Å, I = 1
- 49.2 deg, 1.853 Å, I = 3
- 54.2 deg, 1.691 Å, I = 3
- 63.5 deg, 1.465 Å, I = 32
- 67.9 deg, 1.381 Å, I = 2